The following is a theoretical X-ray powder pattern of Ho2NiRuO6. It was derived from a GGA+U-relaxed structure, using a wavelength of 1.5418 Å.

Top 12 peaks for 2θ from 10° to 80°, by intensity:
- hkl 1 1 -3, 2.723 Å, I 1000
- hkl 2 0 -2, 2.640 Å, I 236
- hkl 1 1 -2, 3.459 Å, I 220
- hkl 0 2 0, 2.858 Å, I 175
- hkl 2 2 -2, 1.939 Å, I 146
- hkl 0 2 1, 2.677 Å, I 140
- hkl 0 0 4, 1.912 Å, I 135
- hkl 2 2 -1, 1.880 Å, I 130
- hkl 3 1 -1, 1.541 Å, I 127
- hkl 3 1 -5, 1.538 Å, I 101
- hkl 1 3 -2, 1.744 Å, I 96
- hkl 1 3 0, 1.745 Å, I 92

Unit cell a=5.2796 b=5.7151 c=9.2837 alpha=90.00 beta=124.52 gamma=90.00
Element x y z (fractional)
Ho: 0.2214 0.0763 0.2471
Ho: 0.2214 0.4237 0.7471
Ho: 0.7786 0.5763 0.2529
Ho: 0.7786 0.9237 0.7529
Ni: 0.0000 0.0000 0.5000
Ni: 0.0000 0.5000 0.0000
Ru: 0.5000 0.0000 0.0000
Ru: 0.5000 0.5000 0.5000
O: 0.1315 0.1888 0.9428
O: 0.1315 0.3112 0.4428
O: 0.2495 0.6984 0.9330
O: 0.2495 0.8016 0.4330
O: 0.3796 0.0482 0.7535
O: 0.3796 0.4518 0.2535
O: 0.6204 0.5482 0.7465
O: 0.6204 0.9518 0.2465
O: 0.7505 0.1984 0.5670
O: 0.7505 0.3016 0.0670
O: 0.8685 0.6888 0.5572
O: 0.8685 0.8112 0.0572